# 1
Structure and simulated powder diffraction line list of KTaP2Se8 (a cell relaxed with GGA-PBE; Cu Kα (λ = 1.5418 Å)).

Top 10 peaks for 2θ = 10–90°, low angle first:
- d = 5.429 Å, rel. 36, (1 0 1)
- d = 4.429 Å, rel. 49, (1 0 4)
- d = 4.042 Å, rel. 44, (0 1 5)
- d = 3.034 Å, rel. 67, (2 -1 3)
- d = 2.680 Å, rel. 100, (1 1 6)
- d = 2.588 Å, rel. 18, (0 2 4)
- d = 2.292 Å, rel. 24, (1 1 9)
- d = 1.954 Å, rel. 35, (2 -1 12)
- d = 1.841 Å, rel. 50, (3 0 0)
- d = 1.681 Å, rel. 24, (2 -1 15)

```
data_KTaP2Se8
_cell_length_a 6.3766
_cell_length_b 6.3766
_cell_length_c 29.6680
_cell_angle_alpha 90.00
_cell_angle_beta 90.00
_cell_angle_gamma 120.00
_space_group_name_H-M_alt 'R -3'
_space_group_IT_number 148
_space_group_name_Hall '-R 3'
loop_
_atom_site_label
_atom_site_type_symbol
_atom_site_fract_x
_atom_site_fract_y
_atom_site_fract_z
_atom_site_occupancy
K1 K 0.0000 0.0000 0.0000 1
Ta1 Ta 0.0000 0.0000 0.5000 1
P1 P 0.0000 0.0000 0.2386 1
Se1 Se 0.0000 0.0000 0.3107 1
Se2 Se 0.0073 0.3482 0.7844 1
```


# 2
Structure and simulated powder diffraction line list of K2ThP3Se9 (a cell relaxed with GGA-PBE; Cu Kα (λ = 1.5418 Å)).

Top 10 peaks for 2θ = 10–90°, low angle first:
- d = 8.058 Å, rel. 100, (0 0 2)
- d = 3.347 Å, rel. 53, (-2 2 1)
- d = 3.066 Å, rel. 62, (2 2 4)
- d = 3.039 Å, rel. 50, (-2 2 2)
- d = 3.029 Å, rel. 62, (2 -2 4)
- d = 2.910 Å, rel. 51, (2 -3 1)
- d = 2.860 Å, rel. 70, (2 -3 2)
- d = 2.755 Å, rel. 50, (0 2 5)
- d = 2.678 Å, rel. 54, (0 4 0)
- d = 2.601 Å, rel. 56, (1 4 0)

```
data_K2ThP3Se9
_cell_length_a 10.3439
_cell_length_b 10.7144
_cell_length_c 16.8780
_cell_angle_alpha 89.92
_cell_angle_beta 72.73
_cell_angle_gamma 88.69
_space_group_name_H-M_alt 'P -1'
_space_group_IT_number 2
_space_group_name_Hall '-P 1'
loop_
_atom_site_label
_atom_site_type_symbol
_atom_site_fract_x
_atom_site_fract_y
_atom_site_fract_z
_atom_site_occupancy
K1 K 0.0264 0.2410 0.4650 1
K2 K 0.2376 0.1957 0.1394 1
K3 K 0.2925 0.6670 0.8523 1
K4 K 0.4497 0.7632 0.5477 1
Th1 Th 0.1962 0.7234 0.2205 1
Th2 Th 0.2249 0.2178 0.8312 1
P1 P 0.0490 0.5373 0.7262 1
P2 P 0.0714 0.9249 0.0087 1
P3 P 0.2190 0.4115 0.6513 1
P4 P 0.2771 0.9307 0.3753 1
P5 P 0.4666 0.0002 0.2813 1
P6 P 0.4897 0.5717 0.0534 1
Se1 Se 0.0038 0.5642 0.1493 1
Se2 Se 0.0135 0.2535 0.0136 1
Se3 Se 0.0350 0.9329 0.1472 1
Se4 Se 0.1064 0.7297 0.7228 1
Se5 Se 0.1071 0.2277 0.6748 1
Se6 Se 0.1128 0.4977 0.3320 1
Se7 Se 0.1288 0.9808 0.3068 1
Se8 Se 0.2479 0.0135 0.4958 1
Se9 Se 0.2738 0.9862 0.9335 1
Se10 Se 0.2846 0.4641 0.5231 1
Se11 Se 0.2887 0.7242 0.3746 1
Se12 Se 0.2952 0.3804 0.9635 1
Se13 Se 0.3513 0.0553 0.6824 1
Se14 Se 0.3642 0.7306 0.0325 1
Se15 Se 0.3730 0.4180 0.7187 1
Se16 Se 0.3772 0.4901 0.1743 1
Se17 Se 0.4311 0.1992 0.2718 1
Se18 Se 0.4718 0.8766 0.1711 1
```


# 3
Structure and simulated powder diffraction line list of KTl2PSe4 (a cell relaxed with GGA-PBE; Cu Kα (λ = 1.5418 Å)).

Top 10 peaks for 2θ = 10–90°, low angle first:
- d = 7.944 Å, rel. 84, (0 1 0)
- d = 7.765 Å, rel. 52, (0 0 1)
- d = 7.128 Å, rel. 45, (1 0 0)
- d = 4.335 Å, rel. 42, (1 -1 1)
- d = 3.998 Å, rel. 37, (1 1 -1)
- d = 3.347 Å, rel. 77, (2 0 2)
- d = 3.089 Å, rel. 100, (2 2 0)
- d = 3.065 Å, rel. 75, (0 2 2)
- d = 2.880 Å, rel. 38, (-1 2 1)
- d = 2.062 Å, rel. 36, (4 2 2)

```
data_KTl2PSe4
_cell_length_a 8.3092
_cell_length_b 8.6829
_cell_length_c 8.8745
_cell_angle_alpha 71.54
_cell_angle_beta 62.81
_cell_angle_gamma 68.44
_space_group_name_H-M_alt 'P 1'
_space_group_IT_number 1
_space_group_name_Hall 'P 1'
loop_
_atom_site_label
_atom_site_type_symbol
_atom_site_fract_x
_atom_site_fract_y
_atom_site_fract_z
_atom_site_occupancy
K1 K 0.0000 0.0000 0.0000 1
K2 K 0.0216 0.0131 0.4979 1
Tl1 Tl 0.4182 0.5283 0.9594 1
Tl2 Tl 0.4800 0.3744 0.5939 1
Tl3 Tl 0.5513 0.9125 0.5129 1
Tl4 Tl 0.9662 0.5187 0.5537 1
P1 P 0.5510 0.8594 0.0666 1
P2 P 0.9235 0.4449 0.0897 1
Se1 Se 0.1406 0.3548 0.2094 1
Se2 Se 0.2372 0.2096 0.6483 1
Se3 Se 0.2836 0.6796 0.6980 1
Se4 Se 0.3114 0.7335 0.1887 1
Se5 Se 0.6938 0.2827 0.7859 1
Se6 Se 0.7029 0.7923 0.8011 1
Se7 Se 0.7176 0.2853 0.2679 1
Se8 Se 0.7663 0.6981 0.1960 1
```


# 4
Structure and simulated powder diffraction line list of KYP2Se6 (a cell relaxed with GGA-PBE; Cu Kα (λ = 1.5418 Å)).

Top 10 peaks for 2θ = 10–90°, low angle first:
- d = 4.946 Å, rel. 44, (1 1 1)
- d = 3.169 Å, rel. 38, (1 2 2)
- d = 3.114 Å, rel. 100, (0 2 4)
- d = 3.089 Å, rel. 48, (2 1 1)
- d = 3.015 Å, rel. 61, (1 2 3)
- d = 2.865 Å, rel. 88, (0 2 5)
- d = 2.846 Å, rel. 67, (1 0 7)
- d = 2.711 Å, rel. 65, (2 1 4)
- d = 2.663 Å, rel. 66, (1 1 7)
- d = 2.522 Å, rel. 57, (2 2 1)

```
data_KYP2Se6
_cell_length_a 6.8504
_cell_length_b 7.5640
_cell_length_c 21.8981
_cell_angle_alpha 90.00
_cell_angle_beta 90.00
_cell_angle_gamma 90.00
_space_group_name_H-M_alt 'P 21 21 21'
_space_group_IT_number 19
_space_group_name_Hall 'P 2ac 2ab'
loop_
_atom_site_label
_atom_site_type_symbol
_atom_site_fract_x
_atom_site_fract_y
_atom_site_fract_z
_atom_site_occupancy
K1 K 0.1239 0.0147 0.4964 1
Y1 Y 0.2176 0.1813 0.2515 1
P1 P 0.1760 0.4494 0.3891 1
P2 P 0.1920 0.3283 0.8337 1
Se1 Se 0.0677 0.8722 0.3306 1
Se2 Se 0.0744 0.8705 0.1714 1
Se3 Se 0.0873 0.7355 0.6294 1
Se4 Se 0.1132 0.7654 0.8802 1
Se5 Se 0.1190 0.5404 0.4813 1
Se6 Se 0.1288 0.4520 0.7423 1
```


Number 2 is which compound? K2ThP3Se9